No. 1
For CsZn3Ge3, a cell relaxed with GGA-PBE gives the theoretical powder X-ray diffraction pattern in this record (Cu Kα, 1.54184 Å).
Neutral-atom scattering factors, no anomalous dispersion.

Most intense lines, 10 to 90 degrees two-theta, low angle first:
hkl	two_theta	d [Å]	Rel. int.
2 0 0	24.9	3.574	43
2 1 1	30.6	2.918	100
2 2 2	43.9	2.064	16
3 2 1	47.6	1.911	58
4 0 0	51.1	1.787	25
4 2 0	57.7	1.599	16
3 3 2	60.8	1.524	14
5 2 1	72.4	1.305	16
4 4 0	75.2	1.264	15
6 1 1	83.3	1.160	17

Structure:
abc: 7.1488 7.1488 7.1488
angles: 90.00 90.00 90.00
Space group Pm-3n (No. 223)
Symmetry-distinct sites (fractional):
Cs 0.0000 0.0000 0.0000 [2 per cell]
Zn 0.0000 0.2500 0.5000 [6 per cell]
Ge 0.0000 0.5000 0.2500 [6 per cell]



No. 2
For Cs6ZnGe8, a cell relaxed with GGA-PBE gives the theoretical powder X-ray diffraction pattern in this record (Cu Kα, 1.54184 Å).
Neutral-atom scattering factors, no anomalous dispersion.

Most intense lines, 10 to 90 degrees two-theta, low angle first:
hkl	two_theta	d [Å]	Rel. int.
0 6 0	22.3	3.988	32
3 5 1	23.2	3.840	47
6 0 0	23.8	3.734	63
3 1 3	24.5	3.636	85
5 5 1	28.2	3.168	34
2 0 4	29.3	3.051	44
3 5 3	30.7	2.917	100
6 6 0	32.9	2.725	59
3 7 3	35.8	2.505	35
0 6 6	48.8	1.867	43

Structure:
abc: 22.4037 23.9291 12.6838
angles: 90.00 90.00 90.00
Space group Fmm2 (No. 42)
Symmetry-distinct sites (fractional):
Cs 0.0000 0.0000 0.0000 [4 per cell]
Cs 0.0000 0.0000 0.3322 [4 per cell]
Cs 0.0000 0.1686 0.0185 [8 per cell]
Cs 0.0000 0.1790 0.3334 [8 per cell]
Cs 0.1443 0.1803 0.7599 [16 per cell]
Cs 0.1463 0.0000 0.7724 [8 per cell]
Cs 0.1879 0.0000 0.4363 [8 per cell]
Cs 0.1926 0.1676 0.4439 [16 per cell]
Zn 0.0000 0.0000 0.6277 [4 per cell]
Zn 0.1667 0.0000 0.1228 [8 per cell]
Ge 0.0000 0.0928 0.7478 [8 per cell]
Ge 0.0000 0.1775 0.6237 [8 per cell]
Ge 0.0597 0.0915 0.5645 [16 per cell]
Ge 0.1122 0.0921 0.2007 [16 per cell]
Ge 0.1575 0.0931 0.0061 [16 per cell]
Ge 0.1672 0.1784 0.1276 [16 per cell]
Ge 0.2296 0.0914 0.1744 [16 per cell]



No. 3
For Cs6H, a cell relaxed with GGA-PBE gives the theoretical powder X-ray diffraction pattern in this record (Cu Kα, 1.54184 Å).
Neutral-atom scattering factors, no anomalous dispersion.

Most intense lines, 10 to 90 degrees two-theta, low angle first:
hkl	two_theta	d [Å]	Rel. int.
1 0 2	20.4	4.357	42
4 0 0	20.8	4.266	35
2 3 1	22.3	3.984	100
3 3 1	25.2	3.532	24
5 0 2	32.9	2.721	10
0 6 0	34.5	2.601	25
6 3 1	37.4	2.405	21
4 3 3	40.6	2.222	18
4 6 0	40.6	2.220	10
2 6 2	41.5	2.178	10

Structure:
abc: 17.0659 15.5988 9.0175
angles: 90.00 90.00 90.00
Space group Pnma (No. 62)
Symmetry-distinct sites (fractional):
Cs 0.0017 0.2500 0.1996 [4 per cell]
Cs 0.0116 0.5965 0.2585 [8 per cell]
Cs 0.2325 0.5976 0.9307 [8 per cell]
Cs 0.2378 0.7500 0.3881 [4 per cell]
H 0.1217 0.7500 0.0932 [4 per cell]



No. 4
For CsH3, a cell relaxed with GGA-PBE gives the theoretical powder X-ray diffraction pattern in this record (Cu Kα, 1.54184 Å).
Neutral-atom scattering factors, no anomalous dispersion.

Most intense lines, 10 to 90 degrees two-theta, low angle first:
hkl	two_theta	d [Å]	Rel. int.
0 0 2	21.4	4.148	35
1 0 1	23.7	3.753	100
1 1 0	30.0	2.975	32
1 1 2	37.2	2.418	33
1 0 3	39.0	2.311	29
2 0 0	43.0	2.104	11
2 0 2	48.5	1.876	15
2 1 1	49.7	1.835	27
1 1 4	53.9	1.702	11
2 1 3	59.4	1.556	17

Structure:
abc: 4.2079 4.2079 8.2964
angles: 90.00 90.00 90.00
Space group I4/mmm (No. 139)
Symmetry-distinct sites (fractional):
Cs 0.0000 0.0000 0.0000 [2 per cell]
H 0.0000 0.0000 0.3744 [4 per cell]
H 0.0000 0.0000 0.5000 [2 per cell]